No. 1
This entry pairs a crystal structure of Zn2Mo2NO10 with its theoretical powder diffraction line list. Radiation: copper Kα. Structure: a cell relaxed with GGA+U.

Principal peaks in the range 2θ = 5–70°, low angle first:
| Position (°2θ) | d_spacing | Rel. int. |
| --- | --- | --- |
| 12.63 | 7.008 | 597 |
| 17.23 | 5.148 | 1000 |
| 23.96 | 3.713 | 958 |
| 28.00 | 3.187 | 571 |
| 30.00 | 2.978 | 519 |
| 33.81 | 2.651 | 542 |

Structure:
```
Zn2Mo2NO10
1.0
5.0807 -3.1332 0.0000
5.0807 3.1332 0.0000
-3.6212 0.0000 7.0080
Zn Mo N O
2 2 1 10
Cartesian
2.5403 1.5666 0.0000
2.5403 -1.5666 0.0000
-0.0998 0.0000 1.9209
6.6399 0.0000 5.0871
3.2701 0.0000 3.5040
-0.0949 0.0000 3.6634
4.1033 1.6747 1.3117
1.6336 0.0000 1.2458
2.4369 1.6747 5.6963
-0.1685 0.0000 6.1953
6.7086 0.0000 0.8128
4.1033 -1.6747 1.3117
4.9065 0.0000 5.7622
2.4369 -1.6747 5.6963
6.6350 0.0000 3.3446
```


No. 2
This entry pairs a crystal structure of ZnMoN4O8 with its theoretical powder diffraction line list. Radiation: copper Kα. Structure: a cell relaxed with GGA+U.

Principal peaks in the range 2θ = 5–70°, low angle first:
| Position (°2θ) | d_spacing | Rel. int. |
| --- | --- | --- |
| 16.33 | 5.429 | 1000 |
| 20.47 | 4.338 | 328 |
| 26.30 | 3.389 | 483 |
| 29.51 | 3.027 | 192 |
| 41.93 | 2.155 | 237 |
| 45.00 | 2.014 | 119 |

Structure:
```
ZnMoN4O8
1.0
-4.3385 4.3385 3.4794
4.3385 -4.3385 3.4794
4.3385 4.3385 -3.4794
Zn Mo N O
1 1 4 8
Cartesian
0.0000 0.0000 0.0000
0.0000 4.3385 1.7397
3.8384 -2.7760 2.2950
7.1145 -0.5001 1.1844
1.5625 0.5001 1.1844
4.8386 2.7760 2.2950
4.8292 1.3548 -0.3646
1.3548 3.8477 0.3646
-0.7680 2.4742 1.8172
2.9836 0.4908 3.8440
1.8643 3.5705 1.6622
-0.4908 2.9836 3.1149
-1.8643 5.1064 1.6622
0.7680 6.2028 1.8172
```


No. 3
This entry pairs a crystal structure of NaNi2Mo2O10 with its theoretical powder diffraction line list. Radiation: copper Kα. Structure: a cell relaxed with GGA+U.

Principal peaks in the range 2θ = 5–70°, low angle first:
| Position (°2θ) | d_spacing | Rel. int. |
| --- | --- | --- |
| 18.13 | 4.893 | 1000 |
| 23.95 | 3.716 | 989 |
| 27.23 | 3.275 | 603 |
| 29.20 | 3.058 | 590 |
| 31.09 | 2.876 | 549 |
| 35.41 | 2.535 | 620 |

Structure:
```
NaNi2Mo2O10
1.0
4.9478 -2.9661 0.0000
4.9478 2.9661 0.0000
-3.8290 0.0000 6.9017
Na Ni Mo O
1 2 2 10
Cartesian
0.0000 0.0000 0.0000
0.5594 1.4830 3.4508
0.5594 -1.4830 3.4508
3.3432 0.0000 1.5671
2.7235 0.0000 5.3345
-0.3252 0.0000 4.0327
1.6774 1.4662 5.1070
-1.0246 0.0000 6.8201
4.3893 1.4662 1.7946
1.8241 0.0000 2.6460
4.2425 0.0000 4.2556
1.6774 -1.4662 5.1070
7.0913 0.0000 0.0815
4.3893 -1.4662 1.7946
6.3919 0.0000 2.8690
```


No. 4
This entry pairs a crystal structure of NaMo4O6 with its theoretical powder diffraction line list. Radiation: copper Kα. Structure: a cell relaxed with GGA+U.

Principal peaks in the range 2θ = 5–70°, low angle first:
| Position (°2θ) | d_spacing | Rel. int. |
| --- | --- | --- |
| 14.16 | 6.256 | 812 |
| 20.07 | 4.424 | 591 |
| 30.99 | 2.885 | 1000 |
| 32.64 | 2.743 | 890 |
| 36.62 | 2.454 | 589 |
| 47.54 | 1.913 | 710 |

Structure:
```
NaMo4O6
1.0
8.8478 0.0000 0.0000
0.0000 8.8478 0.0000
0.0000 0.0000 3.8067
Na Mo O
2 8 12
Cartesian
0.0000 0.0000 0.0000
4.4239 4.4239 0.0000
0.9819 3.4420 0.0000
1.9106 6.3345 1.9033
2.5134 1.9106 1.9033
3.4420 7.8659 0.0000
5.4058 0.9819 0.0000
6.3345 6.9373 1.9033
6.9373 2.5134 1.9033
7.8659 5.4058 0.0000
0.3545 2.2532 1.9033
1.4611 5.8850 0.0000
2.1707 4.0694 1.9033
2.2532 8.4933 1.9033
2.9628 1.4611 0.0000
4.0694 6.6771 1.9033
4.7784 2.1707 1.9033
5.8850 7.3867 0.0000
6.5946 0.3545 1.9033
6.6771 4.7784 1.9033
7.3867 2.9628 0.0000
8.4933 6.5946 1.9033
```


No. 5
This entry pairs a crystal structure of NaMo4O6 with its theoretical powder diffraction line list. Radiation: copper Kα. Structure: a cell relaxed with GGA+U.

Principal peaks in the range 2θ = 5–70°, low angle first:
| Position (°2θ) | d_spacing | Rel. int. |
| --- | --- | --- |
| 22.13 | 4.017 | 1000 |
| 23.19 | 3.835 | 405 |
| 25.74 | 3.461 | 197 |
| 28.29 | 3.154 | 293 |
| 32.27 | 2.774 | 344 |
| 48.83 | 1.865 | 263 |

Structure:
```
NaMo4O6
1.0
7.6695 0.0000 0.0000
0.0000 7.6695 0.0000
0.0000 0.0000 8.0335
Na Mo O
2 8 12
Cartesian
0.0000 0.0000 0.0000
3.8348 3.8348 0.0000
1.1894 2.6453 0.0000
1.8717 5.7065 4.0167
1.9630 1.8717 4.0167
2.6453 6.4801 0.0000
5.0242 1.1894 0.0000
5.7065 5.7978 4.0167
5.7978 1.9630 4.0167
6.4801 5.0242 0.0000
0.0325 1.9154 4.0167
1.0813 4.9161 0.0000
1.9193 3.8023 4.0167
1.9154 7.6370 4.0167
2.7535 1.0813 0.0000
3.8023 5.7502 4.0167
3.8673 1.9193 4.0167
4.9161 6.5882 0.0000
5.7541 0.0325 4.0167
5.7502 3.8673 4.0167
6.5882 2.7535 0.0000
7.6370 5.7541 4.0167
```


No. 6
This entry pairs a crystal structure of NaMoO3 with its theoretical powder diffraction line list. Radiation: copper Kα. Structure: a cell relaxed with GGA+U.

Principal peaks in the range 2θ = 5–70°, low angle first:
| Position (°2θ) | d_spacing | Rel. int. |
| --- | --- | --- |
| 22.73 | 3.913 | 905 |
| 32.36 | 2.767 | 1000 |
| 46.41 | 1.956 | 423 |
| 52.22 | 1.752 | 178 |
| 52.34 | 1.748 | 160 |
| 57.76 | 1.596 | 308 |

Structure:
```
NaMoO3
1.0
2.7632 1.5954 4.5299
-2.7632 1.5954 4.5299
0.0000 -3.1907 4.5299
Na Mo O
2 2 6
Cartesian
0.0000 0.0000 0.0000
0.0000 0.0000 6.7949
0.0000 0.0000 3.4449
0.0000 0.0000 10.2398
-1.2588 -1.0078 4.5816
-2.5199 -0.0013 6.8466
-0.2433 1.5941 4.5816
1.2611 -2.1817 6.8466
1.5022 -0.5863 4.5816
1.2588 2.1829 6.8466
```


No. 7
This entry pairs a crystal structure of NaMoO3 with its theoretical powder diffraction line list. Radiation: copper Kα. Structure: a cell relaxed with GGA+U.

Principal peaks in the range 2θ = 5–70°, low angle first:
| Position (°2θ) | d_spacing | Rel. int. |
| --- | --- | --- |
| 22.52 | 3.949 | 930 |
| 32.05 | 2.792 | 1000 |
| 45.96 | 1.974 | 450 |
| 51.77 | 1.766 | 346 |
| 57.14 | 1.612 | 379 |
| 67.03 | 1.396 | 254 |

Structure:
```
NaMoO3
1.0
3.9489 0.0000 0.0000
0.0000 3.9489 0.0000
0.0000 0.0000 3.9489
Na Mo O
1 1 3
Cartesian
0.0000 0.0000 0.0000
1.9744 1.9744 1.9744
0.0000 1.9744 1.9744
1.9744 0.0000 1.9744
1.9744 1.9744 0.0000
```


No. 8
This entry pairs a crystal structure of NaMo4O6 with its theoretical powder diffraction line list. Radiation: copper Kα. Structure: a cell relaxed with GGA+U.

Principal peaks in the range 2θ = 5–70°, low angle first:
| Position (°2θ) | d_spacing | Rel. int. |
| --- | --- | --- |
| 12.50 | 7.083 | 1000 |
| 28.17 | 3.168 | 653 |
| 33.99 | 2.637 | 908 |
| 35.86 | 2.504 | 220 |
| 42.75 | 2.115 | 430 |
| 56.99 | 1.616 | 290 |

Structure:
```
NaMo4O6
1.0
10.0166 0.0000 0.0000
0.0000 10.0166 0.0000
0.0000 0.0000 3.2628
Na Mo O
2 8 12
Cartesian
0.0000 0.0000 0.0000
5.0083 5.0083 0.0000
1.1645 3.8438 1.6314
1.5366 6.5449 0.0000
3.4717 1.5366 0.0000
3.8438 8.8521 1.6314
6.1728 1.1645 1.6314
6.5449 8.4800 0.0000
8.4800 3.4717 0.0000
8.8521 6.1728 1.6314
0.4946 7.4889 1.6314
2.0398 2.9685 0.0000
2.4806 5.5029 1.6314
2.5277 0.4946 1.6314
2.9685 7.9768 0.0000
4.5138 2.4806 1.6314
5.5029 7.5360 1.6314
7.0481 2.0398 0.0000
7.4889 9.5221 1.6314
7.5360 4.5138 1.6314
7.9768 7.0481 0.0000
9.5221 2.5277 1.6314
```